1.
Calculated powder X-ray diffraction pattern of Ba2TmMgRuO6 for Cu Kα X-rays, from the PBE geometry in the Materials Project.

Largest 10 diffraction maxima, by angle, 2θ = 5–70°:
| two_theta | Rel. int. | hkl |
| --- | --- | --- |
| 17.94 | 14 | 1 0 1 |
| 28.73 | 100 | 1 1 2 |
| 29.47 | 40 | 0 2 0 |
| 30.48 | 37 | 2 0 0 |
| 32.74 | 25 | 0 1 3 |
| 42.91 | 44 | 2 2 0 |
| 45.33 | 19 | 2 1 3 |
| 51.83 | 20 | 1 3 2 |
| 53.10 | 19 | 3 1 2 |
| 59.50 | 12 | 2 2 4 |

Crystal structure
a b c (Å): 5.8652 6.0613 9.1971
angles (deg): 90.00 90.00 90.00
Space group Immm (No. 71)
Symmetry-distinct sites (fractional):
Ba 0.0000 0.0000 0.1908 x4
Tm 0.0000 0.5000 0.0000 x2
Mg 0.0000 0.0000 0.5000 x2
Ru 0.0000 0.5000 0.5000 x2
O 0.0000 0.5000 0.2617 x4
O 0.2319 0.2417 0.5000 x8

2.
Calculated powder X-ray diffraction pattern of SrSmTi4O12 for Cu Kα X-rays, from the PBE geometry in the Materials Project.

Largest 10 diffraction maxima, by angle, 2θ = 5–70°:
| two_theta | Rel. int. | hkl |
| --- | --- | --- |
| 11.38 | 7 | 0 0 1 |
| 19.78 | 100 | 1 0 1 |
| 32.58 | 99 | 2 0 0 |
| 38.40 | 55 | 2 1 1 |
| 40.18 | 17 | 2 0 2 |
| 46.74 | 50 | 2 2 0 |
| 51.22 | 24 | 2 1 3 |
| 58.13 | 38 | 2 0 4 |
| 62.03 | 18 | 3 0 3 |
| 68.24 | 27 | 4 0 0 |

Crystal structure
a b c (Å): 5.4975 5.4975 7.7746
angles (deg): 90.00 90.00 90.00
Space group P4/mmm (No. 123)
Symmetry-distinct sites (fractional):
Sr 0.0000 0.0000 0.0000 x1
Sm 0.5000 0.5000 0.5000 x1
Ti 0.0000 0.5000 0.2487 x4
O 0.0000 0.5000 0.0000 x2
O 0.0000 0.5000 0.5000 x2
O 0.2557 0.2557 0.2614 x8

3.
Calculated powder X-ray diffraction pattern of PrZnBi2O6 for Cu Kα X-rays, from the PBE geometry in the Materials Project.

Largest 10 diffraction maxima, by angle, 2θ = 5–70°:
| two_theta | Rel. int. | hkl |
| --- | --- | --- |
| 20.70 | 26 | 0 1 1 |
| 24.76 | 13 | 2 1 0 |
| 27.46 | 17 | 0 2 0 |
| 29.35 | 100 | 2 1 1 |
| 31.30 | 24 | 0 0 2 |
| 31.69 | 15 | 0 2 1 |
| 41.85 | 14 | 4 0 0 |
| 42.12 | 13 | 0 2 2 |
| 53.17 | 13 | 4 0 2 |
| 54.51 | 21 | 2 1 3 |

Crystal structure
a b c (Å): 8.6352 6.4960 5.7154
angles (deg): 90.00 90.00 90.00
Space group Pmn2_1 (No. 31)
Symmetry-distinct sites (fractional):
Pr 0.0000 0.1662 0.0000 x2
Zn 0.0000 0.9022 0.4899 x2
Bi 0.2417 0.7186 0.9678 x4
O 0.0000 0.2329 0.5915 x2
O 0.0000 0.8094 0.8138 x2
O 0.1734 0.9577 0.2682 x4
O 0.1853 0.4138 0.1216 x4